No. 1
Diffraction record for AcNdTm. The powder XRD pattern is calculated, not measured: it uses a structure optimized by DFT (PBE) and a wavelength of 1.5418 Å.
Peak positions follow from Bragg's law for the DFT cell and can differ from measured ones.

Structural model:
Cell lengths 8.180, 8.180, 8.180 Å; angles 153.39, 153.39, 37.98 degrees
Fractional coordinates of all 3 atoms:
Ac: 0.000 0.000 0.000
Nd: 0.676 0.676 0.000
Tm: 0.331 0.331 0.000

Principal peaks in the range 2θ = 10–80°, by intensity:
2θ (°)  I/Imax
29.37  100
33.67  35
57.59  31
49.20  24
34.80  16
59.08  13
48.35  13
60.94  13
79.72  11
78.43  6
70.78  4
24.33  3


No. 2
Diffraction record for AcNd2Tm4. The powder XRD pattern is calculated, not measured: it uses a structure optimized by DFT (PBE) and a wavelength of 1.5418 Å.
Peak positions follow from Bragg's law for the DFT cell and can differ from measured ones.

Structural model:
Cell lengths 6.870, 8.563, 9.335 Å; angles 66.01, 71.63, 77.12 degrees
Fractional coordinates of all 14 atoms:
Ac: 0.000 0.000 0.000
Ac: 0.470 0.897 0.141
Nd: 0.133 0.559 0.299
Nd: 0.190 0.760 0.566
Nd: 0.337 0.339 0.843
Nd: 0.854 0.426 0.721
Tm: 0.035 0.190 0.279
Tm: 0.289 0.140 0.574
Tm: 0.437 0.712 0.865
Tm: 0.565 0.289 0.161
Tm: 0.616 0.467 0.417
Tm: 0.717 0.856 0.445
Tm: 0.753 0.047 0.693
Tm: 0.904 0.606 0.987

Principal peaks in the range 2θ = 10–80°, by intensity:
2θ (°)  I/Imax
31.99  100
32.17  62
30.94  47
32.32  30
28.16  17
28.02  15
59.55  15
27.92  13
55.66  13
49.37  13
49.83  13
56.02  13